Entry 1:
This entry pairs a crystal structure of Y2Mo with its computed PXRD pattern. Radiation: Cu Kα (weighted mean of Kα1 and Kα2). Structure: a structure optimized by DFT (PBE).
Lines closer than 0.1° are merged.

Main lines, by angle (10 to 90 degrees two-theta):
2θ/deg  Rel. int.
29.15  19
29.84  36
34.73  100
38.15  18
42.20  19
52.96  28
57.10  22
61.60  13
64.90  15
88.48  13

Structure:
```
Y2Mo
1.0
3.4576 0.0000 0.0000
-1.7288 2.9944 0.0000
0.0000 0.0000 15.3165
Y Mo
4 2
Direct
0.3333 0.6667 0.2925 Y
0.3333 0.6667 0.9054 Y
0.6667 0.3333 0.0946 Y
0.6667 0.3333 0.7075 Y
0.3333 0.6667 0.5519 Mo
0.6667 0.3333 0.4481 Mo
```


Entry 2:
This entry pairs a crystal structure of La3Pm2Dy7 with its computed PXRD pattern. Radiation: Cu Kα (weighted mean of Kα1 and Kα2). Structure: a structure optimized by DFT (PBE).
Lines closer than 0.1° are merged.

Main lines, by angle (10 to 90 degrees two-theta):
2θ/deg  Rel. int.
27.75  19
29.76  45
30.81  82
31.31  100
33.36  41
33.93  23
50.32  16
55.09  20
58.49  21
60.16  18

Structure:
```
La3Pm2Dy7
1.0
2.9030 -19.2887 0.0000
2.9030 19.2887 0.0000
0.0000 0.0000 3.6269
La Pm Dy
3 2 7
Direct
0.0000 0.0000 0.0000 La
0.3152 0.6848 0.5000 La
0.6848 0.3152 0.5000 La
0.1460 0.8540 0.0000 Pm
0.8540 0.1460 0.0000 Pm
0.0722 0.9278 0.5000 Dy
0.2300 0.7700 0.0000 Dy
0.4121 0.5879 0.0000 Dy
0.5000 0.5000 0.5000 Dy
0.5879 0.4121 0.0000 Dy
0.7700 0.2300 0.0000 Dy
0.9278 0.0722 0.5000 Dy
```


Entry 3:
This entry pairs a crystal structure of Tb2Al6Si4Au with its computed PXRD pattern. Radiation: Cu Kα (weighted mean of Kα1 and Kα2). Structure: a structure optimized by DFT (PBE).
Lines closer than 0.1° are merged.

Main lines, by angle (10 to 90 degrees two-theta):
2θ/deg  Rel. int.
15.90  56
24.62  42
25.95  30
27.40  100
35.07  28
37.81  62
42.87  61
46.00  25
48.61  25
58.47  17

Structure:
```
Tb2Al6Si4Au
1.0
2.1094 1.2179 16.7242
-2.1094 1.2179 16.7242
0.0000 -2.4357 16.7242
Tb Al Si Au
2 6 4 1
Direct
0.0649 0.0649 0.0649 Tb
0.9351 0.9351 0.9351 Tb
0.1839 0.1839 0.1839 Al
0.3145 0.3145 0.3145 Al
0.4472 0.4472 0.4472 Al
0.5528 0.5528 0.5528 Al
0.6855 0.6855 0.6855 Al
0.8161 0.8161 0.8161 Al
0.2344 0.2344 0.2344 Si
0.3643 0.3643 0.3643 Si
0.6357 0.6357 0.6357 Si
0.7656 0.7656 0.7656 Si
0.5000 0.5000 0.5000 Au
```